Entry 1:
Simulated powder diffractogram of Ho2Si3PdPt12 for Cu Kα, 1.54184 Å, from a cell relaxed with PBE.
Peak positions follow from Bragg's law for the DFT cell and can differ from measured ones.

Structure:
Cell lengths 7.5350, 7.5350, 7.5350 Å; angles 66.49, 66.49, 66.49 degrees
Atoms (fractional coordinates):
Ho: 0.1066 0.1066 0.1066
Ho: 0.8934 0.8934 0.8934
Si: 0.0000 0.5000 0.5000
Si: 0.5000 0.0000 0.5000
Si: 0.5000 0.5000 0.0000
Pd: 0.5000 0.5000 0.5000
Pt: 0.1153 0.6407 0.6407
Pt: 0.1428 0.1428 0.6046
Pt: 0.1428 0.6046 0.1428
Pt: 0.3593 0.3593 0.8847
Pt: 0.3593 0.8847 0.3593
Pt: 0.3954 0.8572 0.8572
Pt: 0.6046 0.1428 0.1428
Pt: 0.6407 0.1153 0.6407
Pt: 0.6407 0.6407 0.1153
Pt: 0.8572 0.3953 0.8572
Pt: 0.8572 0.8572 0.3954
Pt: 0.8847 0.3593 0.3593

Largest 10 diffraction maxima, in order of rising 2θ, 10° ≤ 2θ ≤ 90°:
- 2θ = 23.8°, d 3.732, intensity 11
- 2θ = 32.3°, d 2.769, intensity 100
- 2θ = 34.7°, d 2.584, intensity 11
- 2θ = 43.8°, d 2.065, intensity 59
- 2θ = 48.8°, d 1.866, intensity 38
- 2θ = 55.5°, d 1.656, intensity 20
- 2θ = 67.7°, d 1.385, intensity 13
- 2θ = 73.3°, d 1.292, intensity 16
- 2θ = 80.7°, d 1.191, intensity 9
- 2θ = 84.2°, d 1.150, intensity 13


Entry 2:
Simulated powder diffractogram of HoPuPd2 for Cu Kα, 1.54184 Å, from a cell relaxed with PBE.
Peak positions follow from Bragg's law for the DFT cell and can differ from measured ones.

Structure:
Cell lengths 3.4636, 3.4636, 7.1973 Å; angles 90.00, 90.00, 90.00 degrees
Atoms (fractional coordinates):
Ho: 0.0000 0.0000 0.0000
Pu: 0.0000 0.0000 0.5000
Pd: 0.5000 0.5000 0.2310
Pd: 0.5000 0.5000 0.7690

Largest 10 diffraction maxima, in order of rising 2θ, 10° ≤ 2θ ≤ 90°:
- 2θ = 25.7°, d 3.464, intensity 10
- 2θ = 36.0°, d 2.496, intensity 100
- 2θ = 36.7°, d 2.449, intensity 48
- 2θ = 50.7°, d 1.799, intensity 9
- 2θ = 52.9°, d 1.732, intensity 17
- 2θ = 64.2°, d 1.450, intensity 18
- 2θ = 65.6°, d 1.423, intensity 35
- 2θ = 76.3°, d 1.248, intensity 11
- 2θ = 89.1°, d 1.099, intensity 8
- 2θ = 89.5°, d 1.095, intensity 8


Entry 3:
Simulated powder diffractogram of Ho7Pd2Rh2 for Cu Kα, 1.54184 Å, from a cell relaxed with PBE.
Peak positions follow from Bragg's law for the DFT cell and can differ from measured ones.

Structure:
Cell lengths 9.0562, 9.0562, 9.0562 Å; angles 155.56, 68.11, 117.55 degrees
Atoms (fractional coordinates):
Ho: 0.0000 0.0000 0.0000
Ho: 0.0835 0.3952 0.6883
Ho: 0.1277 0.7572 0.3705
Ho: 0.3868 0.7572 0.6295
Ho: 0.4865 0.6040 0.8825
Ho: 0.7069 0.3952 0.3117
Ho: 0.7214 0.6040 0.1175
Pd: 0.3569 0.3569 0.0000
Pd: 0.7700 0.2700 0.5000
Rh: 0.3398 0.1011 0.2388
Rh: 0.8623 0.1011 0.7612

Largest 10 diffraction maxima, in order of rising 2θ, 10° ≤ 2θ ≤ 90°:
- 2θ = 29.1°, d 3.064, intensity 21
- 2θ = 29.4°, d 3.043, intensity 19
- 2θ = 30.7°, d 2.913, intensity 52
- 2θ = 31.3°, d 2.859, intensity 32
- 2θ = 33.8°, d 2.653, intensity 42
- 2θ = 34.8°, d 2.578, intensity 100
- 2θ = 35.1°, d 2.553, intensity 41
- 2θ = 37.1°, d 2.425, intensity 19
- 2θ = 39.0°, d 2.307, intensity 27
- 2θ = 47.4°, d 1.917, intensity 28


Entry 4:
Simulated powder diffractogram of Ho4PdRu2 for Cu Kα, 1.54184 Å, from a cell relaxed with PBE.
Peak positions follow from Bragg's law for the DFT cell and can differ from measured ones.

Structure:
Cell lengths 4.7984, 4.7984, 6.8401 Å; angles 90.00, 90.00, 90.00 degrees
Atoms (fractional coordinates):
Ho: 0.0000 0.5000 0.2472
Ho: 0.0000 0.5000 0.7528
Ho: 0.5000 0.0000 0.2472
Ho: 0.5000 0.0000 0.7528
Pd: 0.0000 0.0000 0.5000
Ru: 0.0000 0.0000 0.0000
Ru: 0.5000 0.5000 0.5000

Largest 10 diffraction maxima, in order of rising 2θ, 10° ≤ 2θ ≤ 90°:
- 2θ = 26.1°, d 3.420, intensity 8
- 2θ = 26.3°, d 3.393, intensity 15
- 2θ = 37.3°, d 2.409, intensity 100
- 2θ = 37.5°, d 2.399, intensity 49
- 2θ = 46.2°, d 1.964, intensity 7
- 2θ = 53.6°, d 1.710, intensity 9
- 2θ = 54.1°, d 1.696, intensity 17
- 2θ = 67.2°, d 1.393, intensity 18
- 2θ = 67.5°, d 1.387, intensity 35
- 2θ = 79.6°, d 1.204, intensity 11


Entry 5:
Simulated powder diffractogram of Ho6Pd5Ru for Cu Kα, 1.54184 Å, from a cell relaxed with PBE.
Peak positions follow from Bragg's law for the DFT cell and can differ from measured ones.

Structure:
Cell lengths 4.9376, 6.8962, 7.7810 Å; angles 90.00, 108.29, 90.00 degrees
Atoms (fractional coordinates):
Ho: 0.0000 0.2441 0.0000
Ho: 0.0000 0.7559 0.0000
Ho: 0.3371 0.2466 0.6738
Ho: 0.3371 0.7534 0.6738
Ho: 0.6629 0.2466 0.3262
Ho: 0.6629 0.7534 0.3262
Pd: 0.1676 0.0000 0.3346
Pd: 0.1676 0.5000 0.3359
Pd: 0.5000 0.5000 0.0000
Pd: 0.8324 0.0000 0.6654
Pd: 0.8324 0.5000 0.6641
Ru: 0.5000 0.0000 0.0000

Largest 10 diffraction maxima, in order of rising 2θ, 10° ≤ 2θ ≤ 90°:
- 2θ = 36.4°, d 2.466, intensity 51
- 2θ = 36.7°, d 2.452, intensity 100
- 2θ = 52.4°, d 1.747, intensity 9
- 2θ = 52.6°, d 1.740, intensity 9
- 2θ = 53.1°, d 1.724, intensity 9
- 2θ = 65.6°, d 1.423, intensity 9
- 2θ = 65.7°, d 1.421, intensity 18
- 2θ = 65.8°, d 1.418, intensity 9
- 2θ = 66.1°, d 1.413, intensity 18
- 2θ = 89.9°, d 1.092, intensity 8


Entry 6:
Simulated powder diffractogram of Ho3Sb2Pd7 for Cu Kα, 1.54184 Å, from a cell relaxed with PBE.
Peak positions follow from Bragg's law for the DFT cell and can differ from measured ones.

Structure:
Cell lengths 14.6389, 14.6389, 14.6389 Å; angles 163.95, 163.95, 22.77 degrees
Atoms (fractional coordinates):
Ho: 0.0000 0.0000 0.0000
Ho: 0.1782 0.1782 0.0000
Ho: 0.8218 0.8218 0.0000
Sb: 0.3685 0.3685 0.0000
Sb: 0.6315 0.6315 0.0000
Pd: 0.0729 0.5729 0.5000
Pd: 0.2744 0.2744 0.0000
Pd: 0.4271 0.9271 0.5000
Pd: 0.5000 0.5000 0.0000
Pd: 0.5729 0.0729 0.5000
Pd: 0.7256 0.7256 0.0000
Pd: 0.9271 0.4271 0.5000

Largest 10 diffraction maxima, in order of rising 2θ, 10° ≤ 2θ ≤ 90°:
- 2θ = 26.8°, d 3.329, intensity 23
- 2θ = 30.9°, d 2.889, intensity 37
- 2θ = 31.6°, d 2.832, intensity 32
- 2θ = 35.7°, d 2.514, intensity 35
- 2θ = 36.3°, d 2.473, intensity 100
- 2θ = 40.1°, d 2.250, intensity 41
- 2θ = 41.0°, d 2.199, intensity 59
- 2θ = 44.3°, d 2.043, intensity 79
- 2θ = 62.0°, d 1.497, intensity 35
- 2θ = 64.5°, d 1.445, intensity 25